For Li2VBPO7, a DFT-relaxed cell (GGA+U, the Materials Project) gives the computed XRD peak list in this record (Cu Kα X-rays).
Kinematic intensities with the Lorentz-polarization factor, no thermal factor.

a b c (Å): 5.245 6.213 8.911
angles (deg): 90.00 93.24 90.00
Space group P2_1/m (No. 11)
Symmetry-distinct sites (fractional):
Li: 0.250 0.025 0.184 (multiplicity 4)
V: 0.288 0.750 0.672 (multiplicity 2)
B: 0.240 0.750 0.940 (multiplicity 2)
P: 0.218 0.250 0.560 (multiplicity 2)
O: 0.038 0.750 0.825 (multiplicity 2)
O: 0.073 0.750 0.474 (multiplicity 2)
O: 0.217 0.750 0.087 (multiplicity 2)
O: 0.298 0.054 0.660 (multiplicity 4)
O: 0.358 0.250 0.414 (multiplicity 2)
O: 0.474 0.750 0.864 (multiplicity 2)

Main lines, sorted by position (2θ = 10–90°):
17.41°, rel. 100, hkl 0 1 1; 19.17°, rel. 60, hkl 1 0 -1; 20.16°, rel. 50, hkl 1 0 1; 24.78°, rel. 50, hkl 1 1 1; 25.53°, rel. 77, hkl 1 0 -2; 28.74°, rel. 94, hkl 0 2 0; 34.25°, rel. 27, hkl 2 0 0; 44.91°, rel. 27, hkl 2 0 -3